[1]
This entry pairs a crystal structure of K2TaF7 with its simulated PXRD pattern. Radiation: Cu Kα (weighted mean of Kα1 and Kα2). Structure: a crystal structure in the Materials Project, relaxed with GGA-PBE.

Most intense lines, 15° ≤ 2θ ≤ 90°, most intense first:
d/Å	2θ (°)	Rel. int.	(hkl)
5.098	17.4	100	1 0 2
3.609	24.7	73	2 1 1
4.650	19.1	69	1 1 1
5.265	16.8	48	0 1 1
4.956	17.9	41	2 0 0
3.118	28.6	40	1 1 3
2.059	44.0	36	3 2 2
2.799	32.0	20	3 1 1

Cell and atoms:
Lattice parameters (Å, degrees): 9.9129 5.8728 11.8890 90.00 90.00 90.00
Space group Pnma (No. 62)
Unique sites:
K (0.0364, 0.2500, 0.1717)
K (0.1282, 0.2500, 0.5492)
Ta (0.2426, 0.7500, 0.3684)
F (0.0909, 0.5308, 0.3532)
F (0.1393, 0.0312, 0.9470)
F (0.1620, 0.7500, 0.5225)
F (0.1992, 0.0454, 0.7458)


[2]
This entry pairs a crystal structure of Sm2InHg with its simulated PXRD pattern. Radiation: Cu Kα (weighted mean of Kα1 and Kα2). Structure: a crystal structure in the Materials Project, relaxed with GGA-PBE.

Most intense lines, 15° ≤ 2θ ≤ 90°, most intense first:
d/Å	2θ (°)	Rel. int.	(hkl)
2.708	33.1	100	2 2 0
1.563	59.1	38	4 2 2
1.915	47.5	18	4 0 0
1.211	79.1	16	6 2 0
1.354	69.4	12	4 4 0
1.105	88.4	4	4 4 4
4.422	20.1	4	1 1 1
2.309	39.0	2	3 1 1

Cell and atoms:
Lattice parameters (Å, degrees): 7.6584 7.6584 7.6584 90.00 90.00 90.00
Space group Fm-3m (No. 225)
Unique sites:
Sm (0.2500, 0.2500, 0.2500)
In (0.0000, 0.0000, 0.0000)
Hg (0.0000, 0.0000, 0.5000)


[3]
This entry pairs a crystal structure of SrAsPd with its simulated PXRD pattern. Radiation: Cu Kα (weighted mean of Kα1 and Kα2). Structure: a crystal structure in the Materials Project, relaxed with GGA-PBE.

Most intense lines, 15° ≤ 2θ ≤ 90°, most intense first:
d/Å	2θ (°)	Rel. int.	(hkl)
2.880	31.1	100	1 0 2
2.161	41.8	50	1 1 0
1.560	59.2	35	1 1 4
1.728	53.0	22	2 0 2
2.255	40.0	19	0 0 4
1.350	69.7	19	2 1 2
4.510	19.7	15	0 0 2
1.092	89.9	11	3 0 4

Cell and atoms:
Lattice parameters (Å, degrees): 4.3214 4.3214 9.0208 90.00 90.00 120.00
Space group P6_3/mmc (No. 194)
Unique sites:
Sr (0.0000, 0.0000, 0.0000)
As (0.3333, 0.6667, 0.2500)
Pd (0.3333, 0.6667, 0.7500)


[4]
This entry pairs a crystal structure of La3Mg2WS8 with its simulated PXRD pattern. Radiation: Cu Kα (weighted mean of Kα1 and Kα2). Structure: a crystal structure in the Materials Project, relaxed with GGA-PBE.

Most intense lines, 15° ≤ 2θ ≤ 90°, most intense first:
d/Å	2θ (°)	Rel. int.	(hkl)
2.831	31.6	100	0 2 4
3.423	26.0	60	1 1 3
2.031	44.6	47	2 2 0
1.974	46.0	42	2 0 8
3.354	26.6	32	0 1 5
2.182	41.4	26	1 2 5
3.301	27.0	24	2 0 2
3.460	25.7	21	0 2 1

Cell and atoms:
Lattice parameters (Å, degrees): 8.1248 8.1248 19.0753 90.00 90.00 120.00
Space group R-3m (No. 166, hexagonal axes)
Unique sites:
La (0.0000, 0.5000, 0.0000)
Mg (0.0000, 0.0000, 0.1259)
W (0.0000, 0.0000, 0.5000)
S (0.0000, 0.0000, 0.2520)
S (0.0238, 0.5119, 0.2400)


[5]
This entry pairs a crystal structure of LaEu2SbO6 with its simulated PXRD pattern. Radiation: Cu Kα (weighted mean of Kα1 and Kα2). Structure: a crystal structure in the Materials Project, relaxed with GGA-PBE.

Most intense lines, 15° ≤ 2θ ≤ 90°, most intense first:
d/Å	2θ (°)	Rel. int.	(hkl)
3.049	29.3	100	2 2 0
1.760	51.9	41	4 2 2
2.156	41.9	29	4 0 0
1.152	84.0	22	6 4 2
1.364	68.9	18	6 2 0
1.524	60.8	18	4 4 0
1.245	76.5	6	4 4 4
2.489	36.1	3	2 2 2

Cell and atoms:
Lattice parameters (Å, degrees): 8.6236 8.6236 8.6236 90.00 90.00 90.00
Space group Fm-3m (No. 225)
Unique sites:
La (0.0000, 0.0000, 0.0000)
Eu (0.2500, 0.2500, 0.2500)
Sb (0.0000, 0.0000, 0.5000)
O (0.0000, 0.0000, 0.2686)


[6]
This entry pairs a crystal structure of CaH16O10 with its simulated PXRD pattern. Radiation: Cu Kα (weighted mean of Kα1 and Kα2). Structure: a crystal structure in the Materials Project, relaxed with GGA-PBE.

Most intense lines, 15° ≤ 2θ ≤ 90°, most intense first:
d/Å	2θ (°)	Rel. int.	(hkl)
5.811	15.2	100	0 0 2
3.968	22.4	81	1 1 2
2.886	31.0	74	1 2 1
3.651	24.4	65	-1 1 2
2.905	30.8	60	0 0 4
3.245	27.5	42	1 1 -2
2.785	32.1	42	-1 2 1
4.493	19.8	42	1 1 0

Cell and atoms:
Lattice parameters (Å, degrees): 6.3535 6.3641 11.9144 78.22 84.78 87.68
Space group P1 (No. 1)
Unique sites:
Ca (0.0000, 0.0000, 0.0000)
Ca (0.0466, 0.0704, 0.5306)
H (0.0487, 0.4897, 0.8942)
H (0.0518, 0.3147, 0.1562)
H (0.0838, 0.6387, 0.6332)
H (0.1580, 0.7621, 0.3045)
H (0.2489, 0.2264, 0.3054)
H (0.2702, 0.6525, 0.4131)
H (0.2815, 0.4432, 0.9274)
H (0.2924, 0.4061, 0.1272)
H (0.3000, 0.1153, 0.7280)
H (0.3065, 0.1437, 0.8783)
H (0.3088, 0.9928, 0.1620)
H (0.3311, 0.6775, 0.6147)
H (0.3510, 0.7554, 0.1266)
H (0.3774, 0.3184, 0.6257)
H (0.4216, 0.7691, 0.9291)
H (0.4363, 0.0904, 0.3699)
H (0.5800, 0.0651, 0.8887)
H (0.6020, 0.7762, 0.4156)
H (0.6529, 0.9604, 0.6769)
H (0.6654, 0.7572, 0.6146)
H (0.6797, 0.3020, 0.1104)
H (0.7022, 0.6484, 0.1091)
H (0.7236, 0.1010, 0.2127)
H (0.7324, 0.4169, 0.6249)
H (0.7342, 0.0758, 0.3746)
H (0.7352, 0.4353, 0.4205)
H (0.7453, 0.6605, 0.9029)
H (0.7511, 0.2056, 0.8073)
H (0.8433, 0.6999, 0.2052)
H (0.8902, 0.7638, 0.7936)
H (0.9652, 0.3523, 0.6784)
H (0.9780, 0.4726, 0.3905)
O (0.1269, 0.6952, 0.3871)
O (0.1548, 0.3682, 0.9141)
O (0.1869, 0.7466, 0.6340)
O (0.2018, 0.2835, 0.1696)
O (0.2418, 0.8608, 0.1536)
O (0.2733, 0.2028, 0.6483)
O (0.2950, 0.1702, 0.3844)
O (0.3256, 0.9959, 0.8655)
O (0.4870, 0.5706, 0.0774)
O (0.4871, 0.6173, 0.9501)
O (0.5436, 0.6133, 0.4522)
O (0.5472, 0.5765, 0.5793)
O (0.6505, 0.9773, 0.3450)
O (0.7175, 0.1376, 0.8893)
O (0.7537, 0.8670, 0.6421)
O (0.7816, 0.1843, 0.1341)
O (0.8312, 0.2965, 0.6633)
O (0.8456, 0.7006, 0.1232)
O (0.8705, 0.3553, 0.4051)
O (0.8952, 0.7021, 0.8760)